No. 1
Starting from a GGA-PBE-relaxed structure, the powder XRD pattern of Ba2MnP2 was computed for copper Kα.
Neutral-atom scattering factors, no anomalous dispersion.

Peak list (6 most intense, 15 to 90 degrees two-theta, in order of rising 2θ)
hkl, d_spacing, Rel. int.
1 2 1, 3.820, 100
0 0 2, 3.176, 37
2 1 1, 2.960, 54
2 0 2, 2.339, 34
0 4 2, 2.291, 49
2 5 1, 1.995, 33

Atomic structure:
Cell: 6.9154 13.2334 6.3518 Å, 90.00 90.00 90.00°
Space group Ibam (No. 72)
One atom of each set of equivalent atoms:
Ba 0.1826 0.1425 0.0000
Mn 0.0000 0.5000 0.2500
P 0.1961 0.3967 0.0000

=====

No. 2
Starting from a GGA-PBE-relaxed structure, the powder XRD pattern of Ba4MnP4 was computed for copper Kα.
Neutral-atom scattering factors, no anomalous dispersion.

Peak list (6 most intense, 15 to 90 degrees two-theta, in order of rising 2θ)
hkl, d_spacing, Rel. int.
2 0 1, 3.797, 100
2 1 1, 3.511, 40
2 2 0, 3.256, 89
2 2 2, 2.337, 41
4 0 0, 2.302, 44
4 2 1, 1.968, 42

Atomic structure:
Cell: 9.2094 9.2094 6.7129 Å, 90.00 90.00 90.00°
Space group P4_2/nmc (No. 137, origin choice 2)
One atom of each set of equivalent atoms:
Ba 0.0223 0.2500 0.0747
Mn 0.2500 0.7500 0.2500
P 0.0385 0.7500 0.4351

=====

No. 3
Starting from a GGA-PBE-relaxed structure, the powder XRD pattern of Ba2PaMnS6 was computed for copper Kα.
Neutral-atom scattering factors, no anomalous dispersion.

Peak list (6 most intense, 15 to 90 degrees two-theta, in order of rising 2θ)
hkl, d_spacing, Rel. int.
1 0 1, 5.775, 34
1 1 2, 3.588, 100
2 0 0, 3.440, 55
2 2 0, 2.433, 39
1 3 2, 2.013, 51
2 2 4, 1.794, 31

Atomic structure:
Cell: 6.8804 6.8804 10.6230 Å, 90.00 90.00 90.00°
Space group I4/m (No. 87)
One atom of each set of equivalent atoms:
Ba 0.0000 0.5000 0.2500
Pa 0.0000 0.0000 0.0000
Mn 0.0000 0.0000 0.5000
S 0.0000 0.0000 0.2460
S 0.1819 0.2896 0.5000

=====

No. 4
Starting from a GGA-PBE-relaxed structure, the powder XRD pattern of Ba2MnPbSe4 was computed for copper Kα.
Neutral-atom scattering factors, no anomalous dispersion.

Peak list (6 most intense, 15 to 90 degrees two-theta, in order of rising 2θ)
hkl, d_spacing, Rel. int.
2 2 0, 3.140, 100
0 0 4, 3.126, 48
0 4 0, 2.228, 20
2 2 4, 2.215, 89
0 4 4, 1.814, 20
2 2 8, 1.399, 21

Atomic structure:
Cell: 8.8487 8.9119 12.5031 Å, 90.00 90.00 90.00°
Space group Imma (No. 74)
One atom of each set of equivalent atoms:
Ba 0.0000 0.0000 0.0000
Ba 0.2500 0.2500 0.2500
Mn 0.0000 0.0000 0.5000
Pb 0.2500 0.2500 0.7500
Se 0.0000 0.0097 0.7291
Se 0.2180 0.2500 0.5053